# Pr3P6Pd20
Simulated PXRD pattern, Cu Kα (λ = 1.5418 Å). Input: a DFT-relaxed cell (GGA-PBE, the Materials Project).
Intensities are scaled so that the largest is 100.

Peak list (10 most intense, 10° ≤ 2θ ≤ 90°, sorted by position)
(4 2 0), d = 2.774 Å, rel. 24; (4 2 2), d = 2.532 Å, rel. 30; (3 3 3), d = 2.388 Å, rel. 100; (4 4 0), d = 2.193 Å, rel. 30; (5 3 1), d = 2.097 Å, rel. 24; (6 2 2), d = 1.870 Å, rel. 12; (6 6 0), d = 1.462 Å, rel. 29; (5 5 5), d = 1.433 Å, rel. 14; (8 4 4), d = 1.266 Å, rel. 18; (9 3 3), d = 1.247 Å, rel. 10

Structure:
```
data_Pr3P6Pd20
_cell_length_a 12.4060
_cell_length_b 12.4060
_cell_length_c 12.4060
_cell_angle_alpha 90.00
_cell_angle_beta 90.00
_cell_angle_gamma 90.00
_space_group_name_H-M_alt 'F m -3 m'
_space_group_IT_number 225
_space_group_name_Hall '-F 4 2 3'
loop_
_atom_site_label
_atom_site_type_symbol
_atom_site_fract_x
_atom_site_fract_y
_atom_site_fract_z
_atom_site_occupancy
Pr1 Pr 0.0000 0.0000 0.0000 1
Pr2 Pr 0.2500 0.2500 0.2500 1
P1 P 0.0000 0.0000 0.2617 1
Pd1 Pd 0.0000 0.1738 0.1738 1
Pd2 Pd 0.1133 0.1133 0.3867 1
```

# ZrCoP
Simulated PXRD pattern, Cu Kα (λ = 1.5418 Å). Input: a DFT-relaxed cell (GGA-PBE, the Materials Project).
Intensities are scaled so that the largest is 100.

Peak list (10 most intense, 10° ≤ 2θ ≤ 90°, sorted by position)
(0 1 1), d = 3.289 Å, rel. 20; (2 1 0), d = 2.410 Å, rel. 27; (1 1 2), d = 2.387 Å, rel. 100; (2 0 2), d = 2.378 Å, rel. 25; (2 1 1), d = 2.284 Å, rel. 94; (1 0 3), d = 2.238 Å, rel. 42; (3 0 1), d = 2.030 Å, rel. 27; (0 1 3), d = 2.009 Å, rel. 35; (0 2 0), d = 1.851 Å, rel. 38; (3 1 4), d = 1.284 Å, rel. 25

Structure:
```
data_ZrCoP
_cell_length_a 6.3496
_cell_length_b 3.7012
_cell_length_c 7.1758
_cell_angle_alpha 90.00
_cell_angle_beta 90.00
_cell_angle_gamma 90.00
_space_group_name_H-M_alt 'P n m a'
_space_group_IT_number 62
_space_group_name_Hall '-P 2ac 2n'
loop_
_atom_site_label
_atom_site_type_symbol
_atom_site_fract_x
_atom_site_fract_y
_atom_site_fract_z
_atom_site_occupancy
Zr1 Zr 0.0191 0.2500 0.1831 1
Co1 Co 0.1382 0.2500 0.5606 1
P1 P 0.2245 0.7500 0.3871 1
```

# KTcO2
Simulated PXRD pattern, Cu Kα (λ = 1.5418 Å). Input: a DFT-relaxed cell (GGA-PBE, the Materials Project).
Intensities are scaled so that the largest is 100.

Peak list (10 most intense, 10° ≤ 2θ ≤ 90°, sorted by position)
(1 0 1), d = 5.745 Å, rel. 49; (1 0 3), d = 3.499 Å, rel. 24; (0 0 4), d = 3.120 Å, rel. 72; (2 0 2), d = 2.873 Å, rel. 100; (2 2 0), d = 2.288 Å, rel. 55; (2 2 4), d = 1.845 Å, rel. 52; (2 0 6), d = 1.750 Å, rel. 26; (4 0 4), d = 1.436 Å, rel. 20; (4 2 2), d = 1.410 Å, rel. 27; (4 2 6), d = 1.188 Å, rel. 16

Structure:
```
data_KTcO2
_cell_length_a 6.4714
_cell_length_b 6.4714
_cell_length_c 12.4806
_cell_angle_alpha 90.00
_cell_angle_beta 90.00
_cell_angle_gamma 90.00
_space_group_name_H-M_alt 'I 41/a m d'
_space_group_IT_number 141
loop_
_space_group_symop_operation_xyz
'x,y,z'
'-x,-y,-z'
'-y+1/4,x+3/4,z+1/4'
'y+1/4,-x+3/4,-z+1/4'
'-x+1/2,-y,z+1/2'
'x+1/2,y,-z+1/2'
'y+1/4,-x+1/4,z+3/4'
'-y+1/4,x+1/4,-z+3/4'
'x,-y,-z'
'-x,y,z'
'-y+1/4,-x+1/4,-z+3/4'
'y+1/4,x+1/4,z+3/4'
'-x+1/2,y,-z+1/2'
'x+1/2,-y,z+1/2'
'y+1/4,x+3/4,-z+1/4'
'-y+1/4,-x+3/4,z+1/4'
'x+1/2,y+1/2,z+1/2'
'-x+1/2,-y+1/2,-z+1/2'
'-y+3/4,x+1/4,z+3/4'
'y+3/4,-x+1/4,-z+3/4'
'-x,-y+1/2,z'
'x,y+1/2,-z'
'y+3/4,-x+3/4,z+1/4'
'-y+3/4,x+3/4,-z+1/4'
'x+1/2,-y+1/2,-z+1/2'
'-x+1/2,y+1/2,z+1/2'
'-y+3/4,-x+3/4,-z+1/4'
'y+3/4,x+3/4,z+1/4'
'-x,y+1/2,-z'
'x,-y+1/2,z'
'y+3/4,x+1/4,-z+3/4'
'-y+3/4,-x+1/4,z+3/4'
loop_
_atom_site_label
_atom_site_type_symbol
_atom_site_fract_x
_atom_site_fract_y
_atom_site_fract_z
_atom_site_occupancy
K1 K 0.0000 0.0000 0.0000 1
Tc1 Tc 0.0000 0.0000 0.5000 1
O1 O 0.0000 0.0597 0.2281 1
```

# Sr5ZrTi4O15
Simulated PXRD pattern, Cu Kα (λ = 1.5418 Å). Input: a DFT-relaxed cell (GGA-PBE, the Materials Project).
Intensities are scaled so that the largest is 100.

Peak list (10 most intense, 10° ≤ 2θ ≤ 90°, sorted by position)
(1 1 0), d = 2.838 Å, rel. 52; (1 0 5), d = 2.829 Å, rel. 100; (1 1 5), d = 2.312 Å, rel. 22; (2 0 0), d = 2.007 Å, rel. 42; (0 0 10), d = 1.994 Å, rel. 18; (2 1 5), d = 1.637 Å, rel. 39; (1 1 10), d = 1.631 Å, rel. 17; (2 2 0), d = 1.419 Å, rel. 12; (2 0 10), d = 1.414 Å, rel. 21; (2 2 10), d = 1.156 Å, rel. 11

Structure:
```
data_Sr5ZrTi4O15
_cell_length_a 4.0140
_cell_length_b 4.0140
_cell_length_c 19.9376
_cell_angle_alpha 90.00
_cell_angle_beta 90.00
_cell_angle_gamma 90.00
_space_group_name_H-M_alt 'P 4/m m m'
_space_group_IT_number 123
_space_group_name_Hall '-P 4 2'
loop_
_atom_site_label
_atom_site_type_symbol
_atom_site_fract_x
_atom_site_fract_y
_atom_site_fract_z
_atom_site_occupancy
Sr1 Sr 0.0000 0.0000 0.0000 1
Sr2 Sr 0.0000 0.0000 0.1968 1
Sr3 Sr 0.0000 0.0000 0.3906 1
Zr1 Zr 0.5000 0.5000 0.5000 1
Ti1 Ti 0.5000 0.5000 0.0989 1
Ti2 Ti 0.5000 0.5000 0.2958 1
O1 O 0.0000 0.5000 0.0991 1
O2 O 0.0000 0.5000 0.2956 1
O3 O 0.0000 0.5000 0.5000 1
O4 O 0.5000 0.5000 0.0000 1
O5 O 0.5000 0.5000 0.1969 1
O6 O 0.5000 0.5000 0.3923 1
```